This entry pairs a crystal structure of BaCr3F9 with its theoretical powder XRD pattern. Radiation: a wavelength of 1.5418 Å. Structure: a structure optimized by DFT (GGA+U).
Peak positions follow from Bragg's law for the DFT cell and can differ from measured ones.

Cell and atoms:
```
data_BaCr3F9
_symmetry_space_group_name_H-M 'P 1'
_symmetry_Int_Tables_number 1
_symmetry_space_group_name_Hall 'P 1'
_cell_length_a 7.4907
_cell_length_b 7.4907
_cell_length_c 4.1395
_cell_angle_alpha 90.00
_cell_angle_beta 90.00
_cell_angle_gamma 120.00
loop_
_atom_site_label
_atom_site_fract_x
_atom_site_fract_y
_atom_site_fract_z
_atom_site_occupancy
Ba1 0.0000 0.0000 0.0000 1
Cr1 0.0000 0.5000 0.5000 1
Cr2 0.5000 0.0000 0.5000 1
Cr3 0.5000 0.5000 0.5000 1
F1 0.0000 0.5000 0.0000 1
F2 0.1915 0.3830 0.5000 1
F3 0.1915 0.8085 0.5000 1
F4 0.3830 0.1915 0.5000 1
F5 0.5000 0.0000 0.0000 1
F6 0.5000 0.5000 0.0000 1
F7 0.6170 0.8085 0.5000 1
F8 0.8085 0.1915 0.5000 1
F9 0.8085 0.6170 0.5000 1
```

The 8 most intense peaks (2θ = 10–90°), in order of rising 2θ:
h k l  2θ/deg  I_rel
1 0 1  25.5  74.0
2 0 0  27.5  100.0
1 1 1  32.2  56.8
0 0 2  43.7  21.7
3 0 1  47.4  21.3
2 2 0  48.6  40.1
2 0 2  52.4  30.3
2 2 2  67.4  26.3